Pm6Te2C: calculated powder X-ray diffraction pattern (Cu Kα X-rays), based on a structure optimized by DFT (GGA-PBE).
No peak broadening, texture or thermal motion is included.

The 12 most intense peaks (2θ = 10–80°), in order of falling intensity:
hkl 0 2 2, 28.7 deg, d 3.109, I 100; hkl 2 1 -4, 35.2 deg, d 2.550, I 53; hkl 2 1 -3, 31.1 deg, d 2.872, I 52; hkl 2 1 -1, 30.6 deg, d 2.925, I 51; hkl 1 2 -3, 32.1 deg, d 2.785, I 47; hkl 0 0 4, 36.1 deg, d 2.491, I 44; hkl 2 1 0, 34.1 deg, d 2.630, I 42; hkl 1 3 -1, 36.5 deg, d 2.459, I 39; hkl 2 1 -2, 29.5 deg, d 3.031, I 34; hkl 1 2 1, 31.6 deg, d 2.834, I 33; hkl 1 1 -4, 32.7 deg, d 2.741, I 26; hkl 4 0 -4, 56.1 deg, d 1.639, I 24

Structure:
a = 6.560 Å, b = 7.957 Å, c = 11.732 Å
α = 90.00°, β = 121.86°, γ = 90.00°
Space group P2_1/c (No. 14)
Unique sites:
1 Pm 0.133 0.022 0.248 [4 per cell]
2 Pm 0.182 0.709 0.044 [4 per cell]
3 Pm 0.366 0.170 0.035 [4 per cell]
4 Te 0.323 0.108 0.747 [4 per cell]
5 C 0.000 0.000 0.000 [2 per cell]